Structure and theoretical powder diffraction line list of V4O3F9 (a cell relaxed with PBE+U; a wavelength of 1.5418 Å).
Peak positions follow from Bragg's law for the DFT cell and can differ from measured ones.

Main lines, in order of rising 2θ (10 to 90 degrees two-theta):
2θ (°)  d/Å  I/Imax
23.47  3.790  100
33.09  2.708  11
33.77  2.654  6
39.46  2.284  8
47.95  1.897  15
48.12  1.891  8
53.58  1.710  13
53.74  1.706  6
54.52  1.683  8
75.98  1.252  6

Structure:
```
V4O3F9
1.0
4.7162 -2.6561 0.0000
4.7162 2.6561 0.0000
-2.9508 0.0000 8.7005
V O F
4 3 9
direct
0.1129 0.1129 0.3793
0.3400 0.4199 0.1303
0.5801 0.6600 0.8697
0.8871 0.8871 0.6207
0.0538 0.9462 0.5000
0.1983 0.7743 0.2131
0.2257 0.8017 0.7869
0.0162 0.4670 0.9587
0.0443 0.4680 0.5403
0.1627 0.3123 0.2462
0.5320 0.9557 0.4597
0.5330 0.9838 0.0413
0.5621 0.4379 0.0000
0.6877 0.8373 0.7538
0.6948 0.2997 0.2885
0.7003 0.3052 0.7115
```